Structure and theoretical PXRD pattern of Ni (DFT lattice parameters and positions (PBE); Cu Kα, 1.54184 Å).
Lines closer than 0.1° are merged.

Crystal structure
Cell lengths 2.4866, 2.4866, 8.1383 Å; angles 90.00, 90.00, 120.00 degrees
Space group P6_3/mmc (No. 194)
Symmetry-distinct sites (fractional):
Ni 0.0000 0.0000 0.0000 [2 per cell]
Ni 0.3333 0.6667 0.2500 [2 per cell]

Main lines, in order of rising 2θ (2θ from 10° to 90°):
2θ 41.95, I 8, (1 0 0); 2θ 43.47, I 45, (1 0 1); 2θ 44.53, I 37, (0 0 4); 2θ 47.79, I 100, (1 0 2); 2θ 54.40, I 22, (1 0 3); 2θ 72.84, I 9, (1 0 5); 2θ 76.64, I 20, (1 1 0); 2θ 84.40, I 17, (1 0 6)